# Sr3Sb4Pd2
Calculated XRD peak list, a wavelength of 1.5418 Å. Input: a cell relaxed with GGA-PBE.

Cell and atoms:
```
data_Sr3Sb4Pd2
_chemical_formula_sum 'Sr6 Sb8 Pd4'
_symmetry_space_group_name_H-M 'C 1 2/m 1'
_symmetry_Int_Tables_number 12
_symmetry_space_group_name_Hall '-C 2y'
_cell_length_a 12.1358
_cell_length_b 4.8541
_cell_length_c 9.1196
_cell_angle_alpha 90.00
_cell_angle_beta 100.30
_cell_angle_gamma 90.00
loop_
_atom_site_label
_atom_site_fract_x
_atom_site_fract_y
_atom_site_fract_z
Sr1 0.0000 0.0000 0.0000
Sr2 0.1577 0.5000 0.6606
Sb1 0.0644 0.0000 0.3790
Sb2 0.2198 0.5000 0.0702
Pd1 0.1059 0.5000 0.2877
```

Largest 12 diffraction maxima, by angle, 5° ≤ 2θ ≤ 70°:
d [Å], 2θ (°), I_rel, hkl
4.605, 19.27, 38, 2 0 1
3.076, 29.03, 100, 1 1 2
2.994, 29.84, 55, 4 0 -1
2.427, 37.04, 35, 0 2 0
2.311, 38.98, 56, 3 1 -3
2.302, 39.12, 29, 4 0 2
2.065, 43.84, 15, 5 1 -2
1.885, 48.27, 29, 4 2 -1
1.670, 54.97, 21, 4 2 2
1.633, 56.36, 18, 7 1 -1
1.629, 56.48, 18, 1 1 5
1.426, 65.47, 12, 7 1 -4